Starting from a cell relaxed with GGA-PBE, the powder diffractogram of PuP2O6 was computed for Cu Kα, 1.54184 Å.

Main lines, sorted by position (2θ = 10–80°):
| Position (°2θ) | intensity |
| --- | --- |
| 14.60 | 85 |
| 18.71 | 100 |
| 20.54 | 77 |
| 26.70 | 43 |
| 31.54 | 38 |
| 34.92 | 57 |

Cell and atoms:
```
PuP2O6
1.0
2.8364 1.6376 6.0682
-2.8364 1.6376 6.0682
0.0000 -3.2752 6.0682
Pu P O
1 2 6
Direct
0.0000 0.0000 0.0000
0.2750 0.2750 0.2750
0.3917 0.3917 0.3917
0.1001 0.5608 0.1034
0.1034 0.1001 0.5608
0.2575 0.2609 0.7180
0.2609 0.7180 0.2575
0.5608 0.1034 0.1001
0.7180 0.2575 0.2609
```